# 1
Calculated XRD peak list
Compound: AcHgI6
Radiation: Cu Kα
Structure: a cell relaxed with PBE
Kinematic intensities with the Lorentz-polarization factor, no thermal factor.

Atomic structure:
a = 6.767 Å, b = 7.599 Å, c = 8.668 Å
α = 100.92°, β = 109.46°, γ = 109.56°
Space group P-1 (No. 2)
Inequivalent atoms, fractional coordinates:
Ac1 0.000 0.000 0.000 x1
Hg1 0.000 0.500 0.500 x1
I1 0.202 0.264 0.432 x2
I2 0.230 0.463 0.984 x2
I3 0.497 0.952 0.757 x2

The 10 most intense peaks (2θ from 5° to 70°), most intense first:
d/Å, 2theta, I (rel.), index
4.119, 21.57, 1000, 1 0 -2
3.968, 22.41, 791, 0 1 -2
6.218, 14.24, 686, 0 1 -1
2.707, 33.10, 629, 1 0 2
2.243, 40.20, 579, -1 3 1
3.845, 23.14, 541, 0 0 2
2.839, 31.51, 538, -2 2 1
3.560, 25.01, 511, 0 2 -1
2.680, 33.43, 483, 1 2 -2
3.190, 27.97, 463, 2 -1 0

***

# 2
Calculated XRD peak list
Compound: Ca2LaSe3
Radiation: Cu Kα
Structure: a cell relaxed with PBE
Kinematic intensities with the Lorentz-polarization factor, no thermal factor.

Atomic structure:
a = 8.492 Å, b = 12.005 Å, c = 25.497 Å
α = 90.00°, β = 90.00°, γ = 90.00°
Space group Fddd (No. 70, origin choice 2)
Inequivalent atoms, fractional coordinates:
Ca1 0.125 0.125 0.041 x16
Ca2 0.125 0.125 0.375 x16
La1 0.125 0.125 0.542 x16
Se1 0.119 0.375 0.375 x16
Se2 0.122 0.372 0.207 x32

The 10 most intense peaks (2θ from 5° to 70°), most intense first:
d/Å, 2theta, I (rel.), index
3.003, 29.75, 1000, 2 0 6
2.123, 42.58, 731, 2 4 6
1.734, 52.81, 254, 0 4 12
1.501, 61.79, 117, 4 0 12
6.690, 13.23, 109, 1 1 1
4.108, 21.63, 46, 1 1 5
3.584, 24.84, 35, 1 3 1
3.224, 27.67, 27, 1 1 7
5.431, 16.32, 26, 0 2 2
2.952, 30.28, 26, 1 3 5

***

# 3
Calculated XRD peak list
Compound: TiVNiMo
Radiation: Cu Kα
Structure: a cell relaxed with PBE
Kinematic intensities with the Lorentz-polarization factor, no thermal factor.

Atomic structure:
a = 6.073 Å, b = 6.073 Å, c = 6.073 Å
α = 90.00°, β = 90.00°, γ = 90.00°
Space group F-43m (No. 216)
Inequivalent atoms, fractional coordinates:
Ti1 0.000 0.000 0.000 x4
V1 0.000 0.000 0.500 x4
Ni1 0.250 0.250 0.250 x4
Mo1 0.250 0.250 0.750 x4

The 8 most intense peaks (2θ from 5° to 70°), most intense first:
d/Å, 2theta, I (rel.), index
2.147, 42.08, 1000, 2 2 0
1.518, 61.03, 154, 4 0 0
3.037, 29.41, 85, 2 0 0
3.507, 25.40, 42, 1 1 1
1.358, 69.17, 32, 4 2 0
1.753, 52.17, 24, 2 2 2
1.831, 49.79, 20, 3 1 1
1.393, 67.19, 9, 3 3 1

***

# 4
Calculated XRD peak list
Compound: K2PaGeN4
Radiation: Cu Kα
Structure: a cell relaxed with PBE
Kinematic intensities with the Lorentz-polarization factor, no thermal factor.

Atomic structure:
a = 6.332 Å, b = 7.064 Å, c = 6.907 Å
α = 90.00°, β = 90.00°, γ = 90.00°
Space group Pmmn (No. 59, origin choice 2)
Inequivalent atoms, fractional coordinates:
K1 0.250 0.006 0.223 x4
Pa1 0.250 0.250 0.684 x2
Ge1 0.250 0.750 0.665 x2
N1 0.011 0.750 0.503 x4
N2 0.250 0.525 0.813 x4

The 10 most intense peaks (2θ from 5° to 70°), most intense first:
d/Å, 2theta, I (rel.), index
2.816, 31.77, 1000, 1 2 1
4.667, 19.01, 754, 1 0 1
3.166, 28.19, 469, 2 0 0
6.907, 12.82, 356, 0 0 1
4.715, 18.82, 343, 1 1 0
3.032, 29.46, 326, 1 0 2
2.301, 39.15, 320, 1 2 2
4.938, 17.96, 314, 0 1 1
1.647, 55.82, 265, 2 2 3
3.453, 25.80, 265, 0 0 2

***

# 5
Calculated XRD peak list
Compound: Sm11Cd9Pd4
Radiation: Cu Kα
Structure: a cell relaxed with PBE
Kinematic intensities with the Lorentz-polarization factor, no thermal factor.

Atomic structure:
a = 14.837 Å, b = 22.298 Å, c = 3.741 Å
α = 90.00°, β = 90.00°, γ = 90.00°
Space group Cmmm (No. 65)
Inequivalent atoms, fractional coordinates:
Sm1 0.000 0.000 0.000 x2
Sm2 0.000 0.163 0.000 x4
Sm3 0.000 0.371 0.000 x4
Sm4 0.196 0.500 0.000 x4
Sm5 0.243 0.171 0.000 x8
Cd1 0.000 0.500 0.500 x2
Cd2 0.104 0.263 0.500 x8
Cd3 0.144 0.072 0.500 x8
Pd1 0.151 0.400 0.500 x8

The 10 most intense peaks (2θ from 5° to 70°), most intense first:
d/Å, 2theta, I (rel.), index
2.635, 34.02, 1000, 4 0 1
2.625, 34.15, 422, 4 6 0
1.523, 60.80, 156, 4 6 2
1.871, 48.68, 147, 0 0 2
2.481, 36.20, 146, 3 5 1
2.769, 32.33, 120, 3 3 1
2.865, 31.21, 98, 2 4 1
1.856, 49.07, 95, 0 12 0
2.444, 36.78, 92, 1 9 0
2.414, 37.24, 91, 6 2 0

***

What did the first record say?
Calculated XRD peak list
Compound: AcHgI6
Radiation: Cu Kα
Structure: a cell relaxed with PBE
Kinematic intensities with the Lorentz-polarization factor, no thermal factor.

Atomic structure:
a = 6.767 Å, b = 7.599 Å, c = 8.668 Å
α = 100.92°, β = 109.46°, γ = 109.56°
Space group P-1 (No. 2)
Inequivalent atoms, fractional coordinates:
Ac1 0.000 0.000 0.000 x1
Hg1 0.000 0.500 0.500 x1
I1 0.202 0.264 0.432 x2
I2 0.230 0.463 0.984 x2
I3 0.497 0.952 0.757 x2

The 10 most intense peaks (2θ from 5° to 70°), most intense first:
d/Å, 2theta, I (rel.), index
4.119, 21.57, 1000, 1 0 -2
3.968, 22.41, 791, 0 1 -2
6.218, 14.24, 686, 0 1 -1
2.707, 33.10, 629, 1 0 2
2.243, 40.20, 579, -1 3 1
3.845, 23.14, 541, 0 0 2
2.839, 31.51, 538, -2 2 1
3.560, 25.01, 511, 0 2 -1
2.680, 33.43, 483, 1 2 -2
3.190, 27.97, 463, 2 -1 0